For Mn2BeCl, a structure optimized by DFT (GGA-PBE) gives the theoretical powder diffractogram in this record (Cu Kα (weighted mean of Kα1 and Kα2)).
Intensities are scaled so that the largest is 100.

Main lines, by angle (10 to 80 degrees two-theta):
d [Å]	2θ/deg	I_rel
6.832	12.96	100.0
2.293	39.29	40.2
2.166	41.71	32.4
2.157	41.87	29.0
2.067	43.79	16.4
2.032	44.59	15.1

Structural model:
a b c (Å): 3.098 3.094 6.980
angles (deg): 90.00 101.83 90.00
Element x y z (fractional)
Mn  0.000  0.000  0.000
Mn  0.390  0.500  0.762
Be  0.838  0.000  0.649
Cl  0.589  0.500  0.192

***

For HfSbRhO6, a structure optimized by DFT (GGA-PBE) gives the theoretical powder diffractogram in this record (Cu Kα (weighted mean of Kα1 and Kα2)).
Intensities are scaled so that the largest is 100.

Main lines, by angle (10 to 80 degrees two-theta):
d [Å]	2θ/deg	I_rel
3.157	28.26	100.0
2.658	33.71	60.1
2.267	39.77	26.6
2.034	44.55	28.7
1.681	54.61	48.1
1.615	57.02	27.5

Structural model:
a b c (Å): 5.317 5.317 8.676
angles (deg): 90.00 90.00 120.00
Element x y z (fractional)
Hf  0.333  0.667  0.250
Hf  0.667  0.333  0.750
Sb  0.333  0.667  0.750
Sb  0.667  0.333  0.250
Rh  0.000  0.000  0.000
Rh  0.000  0.000  0.500
O  0.008  0.343  0.627
O  0.008  0.665  0.873
O  0.335  0.343  0.873
O  0.335  0.992  0.627
O  0.343  0.008  0.127
O  0.343  0.335  0.373
O  0.657  0.665  0.627
O  0.657  0.992  0.873
O  0.665  0.008  0.373
O  0.665  0.657  0.127
O  0.992  0.335  0.127
O  0.992  0.657  0.373

***

For Li2TbCd2Hg2, a structure optimized by DFT (GGA-PBE) gives the theoretical powder diffractogram in this record (Cu Kα (weighted mean of Kα1 and Kα2)).
Intensities are scaled so that the largest is 100.

Main lines, by angle (10 to 80 degrees two-theta):
d [Å]	2θ/deg	I_rel
7.208	12.28	66.3
3.339	26.70	100.0
2.494	36.01	86.7
2.459	36.54	48.6
2.452	36.65	48.2
2.441	36.82	47.6

Structural model:
a b c (Å): 4.882 4.905 7.726
angles (deg): 108.06 90.34 119.65
Element x y z (fractional)
Li  0.150  0.300  0.451
Li  0.850  0.700  0.549
Tb  0.000  0.000  0.000
Cd  0.431  0.860  0.291
Cd  0.569  0.140  0.709
Hg  0.274  0.548  0.820
Hg  0.726  0.452  0.180

***

For Na8B13C3, a structure optimized by DFT (GGA-PBE) gives the theoretical powder diffractogram in this record (Cu Kα (weighted mean of Kα1 and Kα2)).
Intensities are scaled so that the largest is 100.

Main lines, by angle (10 to 80 degrees two-theta):
d [Å]	2θ/deg	I_rel
2.501	35.91	12.3
2.252	40.04	36.2
2.166	41.71	100.0
1.494	62.11	13.2
1.250	76.13	10.9
1.230	77.62	12.6

Structural model:
a b c (Å): 5.682 8.662 5.272
angles (deg): 90.00 90.00 90.00
Element x y z (fractional)
Na  0.000  0.246  0.000
Na  0.000  0.754  0.000
Na  0.250  0.250  0.503
Na  0.250  0.750  0.503
Na  0.500  0.250  0.998
Na  0.500  0.750  0.998
Na  0.750  0.250  0.503
Na  0.750  0.750  0.503
B  0.000  0.000  0.348
B  0.000  0.000  0.667
B  0.000  0.500  0.350
B  0.000  0.500  0.681
B  0.249  0.500  0.135
B  0.256  0.000  0.154
B  0.262  0.000  0.826
B  0.500  0.000  0.366
B  0.500  0.500  0.350
B  0.500  0.500  0.681
B  0.738  0.000  0.826
B  0.744  0.000  0.154
B  0.751  0.500  0.135
C  0.250  0.500  0.838
C  0.500  0.000  0.667
C  0.750  0.500  0.838